# 1
Starting from a crystal structure in Alexandria, relaxed with PBE, the XRD peak list of TbNdSiPd was simulated for Cu Kα (weighted mean of Kα1 and Kα2).

Atomic structure:
```
4
Lattice="4.2549 0.0000 0.0000 0.0000 2.0418 5.4856 0.0000 -2.0418 5.4856" Properties=species:S:1:pos:R:3 pbc="T T T"
Tb 0.0000 0.0000 0.0000
Nd 2.1275 0.0000 3.0575
Si 0.0000 0.0000 7.7923
Pd 2.1275 0.0000 6.1643
```

Principal peaks in the range 10° ≤ 2θ ≤ 80°, low angle first:
26.51 deg, rel. 30; 31.44 deg, rel. 100; 32.65 deg, rel. 27; 32.88 deg, rel. 40; 39.27 deg, rel. 47; 42.49 deg, rel. 23; 44.37 deg, rel. 20; 54.61 deg, rel. 23

---

# 2
Starting from a crystal structure in Alexandria, relaxed with PBE, the XRD peak list of Ac2Al5Cu12 was simulated for Cu Kα (weighted mean of Kα1 and Kα2).

Atomic structure:
```
19
Lattice="4.4704 2.5810 4.3589 -4.4704 2.5810 4.3589 0.0000 -5.1620 4.3589" Properties=species:S:1:pos:R:3 pbc="T T T"
Ac 0.0000 0.0000 1.9378
Ac 0.0000 0.0000 11.1389
Al -2.2352 -1.2905 4.3589
Al 0.0000 0.0000 5.2661
Al -2.2352 1.2905 8.7178
Al 0.0000 2.5810 4.3589
Al 0.0000 0.0000 7.8106
Cu 0.0000 -2.4853 4.2029
Cu -2.1523 1.2426 4.2029
Cu -1.2710 -2.2014 6.5384
Cu -2.5420 0.0000 6.5384
Cu -2.1523 -1.2426 8.8738
Cu 1.2710 -2.2014 6.5384
Cu -1.2710 2.2014 6.5384
Cu 2.1523 1.2426 4.2029
Cu 2.5420 0.0000 6.5384
Cu 1.2710 2.2014 6.5384
Cu 2.1523 -1.2426 8.8738
Cu 0.0000 2.4853 8.8738
```

Principal peaks in the range 10° ≤ 2θ ≤ 80°, low angle first:
28.60 deg, rel. 47; 31.32 deg, rel. 38; 34.76 deg, rel. 41; 35.95 deg, rel. 52; 40.35 deg, rel. 46; 40.62 deg, rel. 100; 41.42 deg, rel. 46; 58.61 deg, rel. 41

---

# 3
Starting from a crystal structure in Alexandria, relaxed with PBE, the XRD peak list of LiBe6 was simulated for Cu Kα (weighted mean of Kα1 and Kα2).

Atomic structure:
```
28
Lattice="6.8788 0.0000 0.0000 0.0000 4.1693 0.0000 0.0000 0.0000 8.9760" Properties=species:S:1:pos:R:3 pbc="T T T"
Li 1.6924 1.0423 0.6328
Li 1.7470 3.1270 5.1208
Li 5.1318 1.0423 3.8552
Li 5.1864 3.1270 8.3432
Be 0.3352 3.1270 0.8657
Be 0.4123 0.0098 2.7734
Be 0.4123 2.0748 2.7734
Be 0.6489 1.0423 4.6020
Be 1.0298 3.1270 7.6916
Be 1.2902 1.0423 6.6679
Be 2.1492 3.1270 2.1799
Be 2.4096 1.0423 3.2036
Be 2.7905 3.1270 0.1140
Be 3.0271 2.0945 7.2614
Be 3.0271 4.1594 7.2614
Be 3.1042 1.0423 5.3537
Be 3.7746 3.1270 3.6223
Be 3.8517 0.0098 1.7145
Be 3.8517 2.0748 1.7145
Be 4.0883 1.0423 8.8619
Be 4.4692 3.1270 5.7724
Be 4.7296 1.0423 6.7961
Be 5.5886 3.1270 2.3081
Be 5.8490 1.0423 1.2844
Be 6.2299 3.1270 4.3740
Be 6.4665 2.0945 6.2025
Be 6.4665 4.1594 6.2025
Be 6.5436 1.0423 8.1103
```

Principal peaks in the range 10° ≤ 2θ ≤ 80°, low angle first:
19.78 deg, rel. 47; 45.70 deg, rel. 100; 46.31 deg, rel. 98; 52.32 deg, rel. 59; 52.70 deg, rel. 66; 53.48 deg, rel. 75; 54.32 deg, rel. 62; 55.35 deg, rel. 84

---

# 4
Starting from a crystal structure in Alexandria, relaxed with PBE, the XRD peak list of Ta7Hg was simulated for Cu Kα (weighted mean of Kα1 and Kα2).

Atomic structure:
```
8
Lattice="0.0000 4.2114 4.2114 4.2114 0.0000 4.2114 4.2114 4.2114 0.0000" Properties=species:S:1:pos:R:3 pbc="T T T"
Ta 0.0000 0.0000 0.0000
Ta 2.1057 2.1057 0.0000
Ta 2.1057 0.0000 2.1057
Ta 4.2114 2.1057 2.1057
Ta 0.0000 2.1057 2.1057
Ta 2.1057 4.2114 2.1057
Ta 2.1057 2.1057 4.2114
Hg 4.2114 4.2114 4.2114
```

Principal peaks in the range 10° ≤ 2θ ≤ 80°, low angle first:
36.97 deg, rel. 100; 42.95 deg, rel. 50; 62.36 deg, rel. 33; 74.76 deg, rel. 39; 78.71 deg, rel. 11